Theoretical PXRD pattern of Pr2Sm3Sn4 for λ = 1.5418 Å (Cu Kα), from a GGA-PBE-relaxed structure.
No peak broadening, texture or thermal motion is included.

Structure:
Lattice parameters (Å, degrees): 8.476 8.501 8.160 90.00 110.08 90.00
Space group P2_1/c (No. 14)
One atom of each set of equivalent atoms:
Pr 0.193 0.179 0.066
Sm 0.246 0.670 0.242
Sm 0.500 0.000 0.500
Sn 0.081 0.537 0.842
Sn 0.487 0.133 0.865

The 10 most intense peaks (10° ≤ 2θ ≤ 90°), low angle first:
(hkl)  two_theta  d_spacing  I (rel.)
2 1 -2  28.18  3.166  75.6
2 2 -1  30.04  2.975  100.0
1 2 -2  30.53  2.928  80.6
2 2 0  30.77  2.905  54.4
1 1 2  31.01  2.884  97.3
3 0 0  33.74  2.657  95.8
3 0 -2  33.85  2.648  35.0
1 3 -1  34.27  2.616  21.4
1 1 -3  34.63  2.590  81.1
0 2 5  64.61  1.443  22.2